Theoretical powder X-ray diffraction pattern of LiCu2BP2H2O10 for a wavelength of 1.5418 Å, from DFT lattice parameters and positions (GGA-PBE).
Peak positions follow from Bragg's law for the DFT cell and can differ from measured ones.

Atomic structure:
Unit cell a=15.578 b=4.828 c=9.796 alpha=90.00 beta=92.21 gamma=90.00
Space group C2/c (No. 15)
Inequivalent atoms, fractional coordinates:
Li: 0.250 0.250 0.000 x4
Cu: 0.147 0.207 0.730 x8
B: 0.000 0.218 0.250 x4
P: 0.143 0.319 0.411 x8
H: 0.074 0.156 0.089 x8
O: 0.052 0.397 0.342 x8
O: 0.053 0.041 0.163 x8
O: 0.146 0.421 0.560 x8
O: 0.158 0.003 0.404 x8
O: 0.210 0.491 0.334 x8

Main lines, by intensity (10° ≤ 2θ ≤ 90°):
| Position (°2θ) | Rel. int. | (hkl) |
| --- | --- | --- |
| 26.59 | 100.0 | 3 1 -1 |
| 22.85 | 89.2 | 4 0 0 |
| 18.12 | 64.3 | 0 0 2 |
| 21.39 | 51.5 | 1 1 1 |
| 37.00 | 48.5 | 3 1 -3 |
| 33.83 | 42.9 | 1 1 3 |
| 38.05 | 36.2 | 3 1 3 |
| 38.45 | 27.4 | 5 1 -2 |
| 34.57 | 25.3 | 6 0 0 |
| 11.37 | 24.6 | 2 0 0 |

---

Theoretical powder X-ray diffraction pattern of Dy2SeO2 for a wavelength of 1.5418 Å, from DFT lattice parameters and positions (GGA-PBE).
Peak positions follow from Bragg's law for the DFT cell and can differ from measured ones.

Atomic structure:
Unit cell a=3.838 b=3.838 c=12.162 alpha=90.00 beta=90.00 gamma=90.00
Space group I4/mmm (No. 139)
Inequivalent atoms, fractional coordinates:
Dy: 0.000 0.000 0.157 x4
Se: 0.000 0.000 0.500 x2
O: 0.000 0.500 0.250 x4

Main lines, by intensity (10° ≤ 2θ ≤ 90°):
| Position (°2θ) | Rel. int. | (hkl) |
| --- | --- | --- |
| 32.12 | 100.0 | 1 0 3 |
| 58.38 | 40.4 | 2 1 3 |
| 33.01 | 40.0 | 1 1 0 |
| 56.69 | 22.7 | 1 1 6 |
| 47.38 | 20.1 | 2 0 0 |
| 44.74 | 15.7 | 0 0 6 |
| 24.32 | 12.1 | 1 0 1 |
| 78.36 | 11.2 | 3 0 3 |
| 67.18 | 9.5 | 2 0 6 |
| 86.28 | 7.3 | 2 2 6 |

---

Theoretical powder X-ray diffraction pattern of Ba4Fe3Se10 for a wavelength of 1.5418 Å, from DFT lattice parameters and positions (GGA-PBE).
Peak positions follow from Bragg's law for the DFT cell and can differ from measured ones.

Atomic structure:
Unit cell a=8.869 b=8.805 c=12.894 alpha=90.00 beta=112.63 gamma=90.00
Space group P2_1/c (No. 14)
Inequivalent atoms, fractional coordinates:
Ba: 0.031 0.153 0.346 x4
Ba: 0.440 0.122 0.166 x4
Fe: 0.277 0.710 0.973 x4
Fe: 0.500 0.000 0.500 x2
Se: 0.024 0.223 0.092 x4
Se: 0.177 0.522 0.412 x4
Se: 0.275 0.009 0.591 x4
Se: 0.283 0.607 0.802 x4
Se: 0.438 0.223 0.913 x4

Main lines, by intensity (10° ≤ 2θ ≤ 90°):
| Position (°2θ) | Rel. int. | (hkl) |
| --- | --- | --- |
| 29.52 | 100.0 | 1 1 -4 |
| 28.58 | 97.0 | 2 2 -1 |
| 30.32 | 80.7 | 1 1 3 |
| 34.41 | 53.1 | 3 1 0 |
| 34.26 | 48.6 | 1 3 1 |
| 37.17 | 41.6 | 1 3 -3 |
| 33.49 | 36.6 | 3 1 -3 |
| 33.95 | 35.5 | 1 3 -2 |
| 50.69 | 35.1 | 3 3 -5 |
| 29.80 | 32.8 | 2 2 0 |

---

Theoretical powder X-ray diffraction pattern of Cs2ZrAg2Te4 for a wavelength of 1.5418 Å, from DFT lattice parameters and positions (GGA-PBE).
Peak positions follow from Bragg's law for the DFT cell and can differ from measured ones.

Atomic structure:
Unit cell a=6.680 b=15.580 c=6.664 alpha=90.00 beta=90.00 gamma=90.00
Space group C222 (No. 21)
Inequivalent atoms, fractional coordinates:
Cs: 0.250 0.250 0.241 x4
Zr: 0.000 0.000 0.500 x2
Ag: 0.000 0.000 0.000 x2
Ag: 0.000 0.500 0.500 x2
Te: 0.239 0.104 0.738 x8

Main lines, by intensity (10° ≤ 2θ ≤ 90°):
| Position (°2θ) | Rel. int. | (hkl) |
| --- | --- | --- |
| 25.51 | 100.0 | 1 3 1 |
| 44.20 | 36.7 | 2 6 0 |
| 38.15 | 36.4 | 2 0 2 |
| 29.12 | 27.3 | 2 2 0 |
| 46.42 | 19.4 | 3 3 1 |
| 46.50 | 18.7 | 1 3 3 |
| 35.43 | 18.6 | 0 4 2 |
| 26.72 | 15.5 | 2 0 0 |
| 73.16 | 15.3 | 4 6 2 |
| 34.50 | 12.1 | 1 5 1 |

---

Theoretical powder X-ray diffraction pattern of CeSi2Rh for a wavelength of 1.5418 Å, from DFT lattice parameters and positions (GGA-PBE).
Peak positions follow from Bragg's law for the DFT cell and can differ from measured ones.

Atomic structure:
Unit cell a=4.202 b=16.851 c=4.159 alpha=90.00 beta=90.00 gamma=90.00
Space group Cmcm (No. 63)
Inequivalent atoms, fractional coordinates:
Ce: 0.000 0.106 0.250 x4
Si: 0.000 0.249 0.750 x4
Si: 0.000 0.463 0.250 x4
Rh: 0.000 0.322 0.250 x4

Main lines, by intensity (10° ≤ 2θ ≤ 90°):
| Position (°2θ) | Rel. int. | (hkl) |
| --- | --- | --- |
| 30.71 | 100.0 | 1 1 1 |
| 34.10 | 78.5 | 1 5 0 |
| 34.28 | 68.4 | 1 3 1 |
| 30.20 | 43.4 | 0 4 1 |
| 53.54 | 39.6 | 1 9 0 |
| 56.42 | 36.5 | 1 5 2 |
| 43.06 | 35.4 | 2 0 0 |
| 43.52 | 34.3 | 0 0 2 |
| 38.68 | 32.8 | 0 6 1 |
| 48.44 | 26.1 | 0 8 1 |

---

Theoretical powder X-ray diffraction pattern of AlH12C4NF4 for a wavelength of 1.5418 Å, from DFT lattice parameters and positions (GGA-PBE).
Peak positions follow from Bragg's law for the DFT cell and can differ from measured ones.

Atomic structure:
Unit cell a=6.302 b=6.342 c=6.348 alpha=89.98 beta=89.50 gamma=89.56
Space group P1 (No. 1)
Inequivalent atoms, fractional coordinates:
Al: 0.000 0.000 0.000 x1
H: 0.264 0.456 0.725 x1
H: 0.264 0.725 0.456 x1
H: 0.266 0.255 0.523 x1
H: 0.266 0.523 0.256 x1
H: 0.467 0.255 0.723 x1
H: 0.467 0.724 0.254 x1
H: 0.532 0.724 0.724 x1
H: 0.534 0.255 0.256 x1
H: 0.734 0.522 0.723 x1
H: 0.734 0.723 0.522 x1
H: 0.735 0.455 0.254 x1
H: 0.736 0.254 0.455 x1
C: 0.363 0.353 0.626 x1
C: 0.363 0.627 0.353 x1
C: 0.636 0.626 0.626 x1
C: 0.638 0.352 0.353 x1
N: 0.500 0.490 0.490 x1
F: 0.143 0.131 0.185 x1
F: 0.173 0.853 0.853 x1
F: 0.817 0.843 0.120 x1
F: 0.867 0.174 0.844 x1

Main lines, by intensity (10° ≤ 2θ ≤ 90°):
| Position (°2θ) | Rel. int. | (hkl) |
| --- | --- | --- |
| 19.78 | 100.0 | 0 1 -1 |
| 19.94 | 47.0 | 1 -1 0 |
| 34.56 | 17.7 | 1 1 2 |
| 34.81 | 16.8 | 2 1 -1 |
| 34.69 | 13.2 | 1 -2 1 |
| 34.99 | 5.1 | -2 1 1 |
| 54.06 | 4.7 | 2 -1 3 |
| 49.91 | 4.5 | 2 2 -2 |
| 62.06 | 4.5 | 0 3 3 |
| 40.19 | 3.9 | 2 2 0 |

---

Theoretical powder X-ray diffraction pattern of HfMg14Ni for a wavelength of 1.5418 Å, from DFT lattice parameters and positions (GGA-PBE).
Peak positions follow from Bragg's law for the DFT cell and can differ from measured ones.

Atomic structure:
Unit cell a=6.2776 b=6.2776 c=10.0375 alpha=90.00 beta=90.00 gamma=120.00
Space group P-6m2 (No. 187)
Inequivalent atoms, fractional coordinates:
Hf: 0.0000 0.0000 0.0000 x1
Mg: 0.0103 0.5051 0.0000 x3
Mg: 0.1581 0.3162 0.2615 x6
Mg: 0.5022 0.0044 0.5000 x3
Mg: 0.6667 0.3333 0.2429 x2
Ni: 0.0000 0.0000 0.5000 x1

Main lines, by intensity (10° ≤ 2θ ≤ 90°):
| Position (°2θ) | Rel. int. | (hkl) |
| --- | --- | --- |
| 37.63 | 100.0 | 2 0 2 |
| 16.30 | 55.8 | 1 0 0 |
| 24.13 | 36.7 | 1 0 2 |
| 32.95 | 30.5 | 2 0 0 |
| 35.78 | 24.5 | 0 0 4 |
| 18.56 | 23.2 | 1 0 1 |
| 49.43 | 19.1 | 2 0 4 |
| 70.81 | 18.2 | 2 2 4 |
| 65.52 | 17.9 | 2 0 6 |
| 33.68 | 17.3 | 1 1 2 |

---

Theoretical powder X-ray diffraction pattern of Cs2GeSe3 for a wavelength of 1.5418 Å, from DFT lattice parameters and positions (GGA-PBE).
Peak positions follow from Bragg's law for the DFT cell and can differ from measured ones.

Atomic structure:
Unit cell a=14.738 b=7.588 c=10.673 alpha=90.00 beta=125.36 gamma=90.00
Space group C2/m (No. 12)
Inequivalent atoms, fractional coordinates:
Cs: 0.084 0.000 0.365 x4
Cs: 0.196 0.500 0.820 x4
Ge: 0.116 0.500 0.181 x4
Se: 0.000 0.262 0.000 x4
Se: 0.109 0.500 0.395 x4
Se: 0.208 0.000 0.773 x4

Main lines, by intensity (10° ≤ 2θ ≤ 90°):
| Position (°2θ) | Rel. int. | (hkl) |
| --- | --- | --- |
| 25.17 | 100.0 | 4 0 -1 |
| 23.45 | 47.1 | 0 2 0 |
| 34.67 | 33.2 | 4 2 -1 |
| 31.28 | 21.2 | 0 2 2 |
| 31.60 | 20.9 | 2 0 2 |
| 54.92 | 20.5 | 4 4 -1 |
| 22.86 | 19.5 | 3 1 -2 |
| 32.59 | 18.5 | 2 2 1 |
| 39.79 | 16.4 | 6 0 -4 |
| 44.17 | 12.6 | 4 2 1 |

---

Theoretical powder X-ray diffraction pattern of GdCu5 for a wavelength of 1.5418 Å, from DFT lattice parameters and positions (GGA-PBE).
Peak positions follow from Bragg's law for the DFT cell and can differ from measured ones.

Atomic structure:
Unit cell a=5.0092 b=5.0092 c=4.0666 alpha=90.00 beta=90.00 gamma=120.00
Space group P6/mmm (No. 191)
Inequivalent atoms, fractional coordinates:
Gd: 0.0000 0.0000 0.0000 x1
Cu: 0.0000 0.5000 0.5000 x3
Cu: 0.3333 0.6667 0.0000 x2

Main lines, by intensity (10° ≤ 2θ ≤ 90°):
| Position (°2θ) | Rel. int. | (hkl) |
| --- | --- | --- |
| 42.38 | 100.0 | 1 1 1 |
| 30.12 | 46.4 | 1 0 1 |
| 41.64 | 34.5 | 2 0 0 |
| 35.85 | 30.7 | 1 1 0 |
| 44.56 | 27.4 | 0 0 2 |
| 68.92 | 22.1 | 3 0 1 |
| 62.62 | 19.8 | 2 0 2 |
| 75.99 | 15.5 | 2 2 0 |
| 58.47 | 14.5 | 1 1 2 |
| 80.58 | 14.1 | 1 1 3 |